No. 1
# LiV2OF5
Calculated X-ray powder pattern, Cu Kα (λ = 1.5418 Å). Input: the GGA+U geometry in the Materials Project.

Principal peaks in the range 2θ from 10° to 80°, low angle first:
two_theta	Rel. int.	(hkl)
19.36	79	0 0 3
19.53	50	1 0 0
27.63	50	0 1 3
39.57	100	1 1 3
44.50	11	2 0 3
53.04	55	1 1 6
61.18	28	3 0 0
64.81	12	3 0 3
71.42	15	2 -1 9
75.36	12	4 -2 3

Cell and atoms:
```
data_LiV2OF5
_chemical_formula_sum 'Li3 V6 O3 F15'
_symmetry_space_group_name_H-M 'P 31'
_symmetry_Int_Tables_number 144
_symmetry_space_group_name_Hall 'P 31'
_cell_length_a 5.2480
_cell_length_b 5.2480
_cell_length_c 13.7569
_cell_angle_alpha 90.00
_cell_angle_beta 90.00
_cell_angle_gamma 120.00
loop_
_atom_site_label
_atom_site_type_symbol
_atom_site_fract_x
_atom_site_fract_y
_atom_site_fract_z
_atom_site_occupancy
Li1 Li 0.9996 0.0205 0.0000 1
V1 V 0.3165 0.6483 0.1586 1
V2 V 0.6489 0.3169 0.8254 1
O1 O 0.9998 0.3519 0.0887 1
F1 F 0.0009 0.6599 0.2425 1
F2 F 0.0045 0.3499 0.4178 1
F3 F 0.0065 0.6524 0.5722 1
F4 F 0.3495 0.0044 0.4186 1
F5 F 0.3524 0.3450 0.2379 1
```

=====

No. 2
# Li2VO2F
Calculated X-ray powder pattern, Cu Kα (λ = 1.5418 Å). Input: the GGA+U geometry in the Materials Project.

Principal peaks in the range 2θ from 10° to 80°, low angle first:
two_theta	Rel. int.	(hkl)
18.89	100	1 1 -1
19.65	13	0 0 2
23.19	21	0 2 1
30.73	13	1 1 2
35.55	14	1 3 -1
42.59	36	2 0 2
42.70	36	0 4 0
42.88	34	2 0 -4
61.89	19	2 4 2
62.11	18	2 4 -4

Cell and atoms:
```
data_Li2VO2F
_chemical_formula_sum 'Li16 V8 O16 F8'
_symmetry_space_group_name_H-M 'C 1 c 1'
_symmetry_Int_Tables_number 9
_symmetry_space_group_name_Hall 'C -2yc'
_cell_length_a 5.946
_cell_length_b 8.470
_cell_length_c 9.496
_cell_angle_alpha 90.00
_cell_angle_beta 107.87
_cell_angle_gamma 90.00
loop_
_atom_site_label
_atom_site_type_symbol
_atom_site_fract_x
_atom_site_fract_y
_atom_site_fract_z
_atom_site_occupancy
Li1 Li 0.000 0.118 0.000 1
Li2 Li 0.019 0.373 0.517 1
Li3 Li 0.171 0.373 0.828 1
Li4 Li 0.324 0.364 0.130 1
V1 V 0.162 0.125 0.320 1
V2 V 0.333 0.124 0.640 1
O1 O 0.010 0.129 0.483 1
O2 O 0.325 0.111 0.165 1
O3 O 0.346 0.357 0.667 1
O4 O 0.482 0.120 0.486 1
F1 F 0.158 0.123 0.813 1
F2 F 0.170 0.374 0.317 1
```

=====

No. 3
# Li3V2O4F2
Calculated X-ray powder pattern, Cu Kα (λ = 1.5418 Å). Input: the GGA+U geometry in the Materials Project.

Principal peaks in the range 2θ from 10° to 80°, low angle first:
two_theta	Rel. int.	(hkl)
11.86	34	0 0 2
17.83	100	0 0 3
23.85	15	0 0 4
29.94	11	0 0 5
34.85	14	0 2 0
35.08	19	2 0 -1
41.96	33	0 2 -3
42.46	36	2 0 -4
42.97	30	2 2 5
62.40	9	4 2 1

Cell and atoms:
```
data_Li3V2O4F2
_chemical_formula_sum 'Li12 V8 O16 F8'
_symmetry_space_group_name_H-M 'P 1'
_symmetry_Int_Tables_number 1
_symmetry_space_group_name_Hall 'P 1'
_cell_length_a 5.953
_cell_length_b 5.977
_cell_length_c 15.170
_cell_angle_alpha 79.62
_cell_angle_beta 84.83
_cell_angle_gamma 60.74
loop_
_atom_site_label
_atom_site_type_symbol
_atom_site_fract_x
_atom_site_fract_y
_atom_site_fract_z
_atom_site_occupancy
Li1 Li 0.000 0.000 0.000 1
Li2 Li 0.000 0.468 0.012 1
Li3 Li 0.145 0.024 0.256 1
Li4 Li 0.172 0.516 0.273 1
Li5 Li 0.335 0.012 0.633 1
Li6 Li 0.343 0.762 0.124 1
Li7 Li 0.380 0.217 0.136 1
Li8 Li 0.525 0.468 0.004 1
Li9 Li 0.670 0.498 0.254 1
Li10 Li 0.811 0.796 0.135 1
Li11 Li 0.820 0.015 0.633 1
Li12 Li 0.836 0.502 0.636 1
V1 V 0.001 0.253 0.464 1
V2 V 0.006 0.751 0.469 1
V3 V 0.171 0.753 0.791 1
V4 V 0.172 0.256 0.803 1
V5 V 0.500 0.251 0.466 1
V6 V 0.503 0.749 0.467 1
V7 V 0.669 0.754 0.807 1
V8 V 0.671 0.253 0.797 1
O1 O 0.005 0.133 0.722 1
O2 O 0.159 0.911 0.539 1
O3 O 0.174 0.374 0.540 1
O4 O 0.327 0.383 0.863 1
O5 O 0.327 0.893 0.863 1
O6 O 0.338 0.609 0.402 1
O7 O 0.342 0.126 0.400 1
O8 O 0.503 0.105 0.728 1
O9 O 0.519 0.626 0.728 1
O10 O 0.668 0.885 0.543 1
O11 O 0.674 0.369 0.540 1
O12 O 0.831 0.121 0.400 1
O13 O 0.839 0.879 0.863 1
O14 O 0.840 0.386 0.870 1
O15 O 0.849 0.594 0.403 1
O16 O 0.988 0.618 0.727 1
F1 F 0.010 0.375 0.224 1
F2 F 0.021 0.847 0.212 1
F3 F 0.175 0.632 0.044 1
F4 F 0.178 0.122 0.054 1
F5 F 0.471 0.398 0.208 1
F6 F 0.492 0.865 0.210 1
F7 F 0.668 0.633 0.051 1
F8 F 0.673 0.121 0.050 1
```

=====

No. 4
# LiVOF3
Calculated X-ray powder pattern, Cu Kα (λ = 1.5418 Å). Input: the GGA+U geometry in the Materials Project.

Principal peaks in the range 2θ from 10° to 80°, low angle first:
two_theta	Rel. int.	(hkl)
14.56	70	1 0 0
18.01	59	1 0 1
23.24	100	1 1 1
25.80	45	1 0 2
34.67	19	1 2 1
35.33	19	1 0 3
42.01	57	2 2 0
43.14	22	0 0 4
59.06	25	1 1 5
61.79	26	2 2 4

Cell and atoms:
```
data_LiVOF3
_chemical_formula_sum 'Li4 V4 O4 F12'
_symmetry_space_group_name_H-M 'P 41'
_symmetry_Int_Tables_number 76
_symmetry_space_group_name_Hall 'P 4w'
_cell_length_a 6.083
_cell_length_b 6.083
_cell_length_c 8.388
_cell_angle_alpha 90.00
_cell_angle_beta 90.00
_cell_angle_gamma 90.00
loop_
_atom_site_label
_atom_site_type_symbol
_atom_site_fract_x
_atom_site_fract_y
_atom_site_fract_z
_atom_site_occupancy
Li1 Li 0.246 0.749 0.000 1
V1 V 0.239 0.501 0.642 1
O1 O 0.282 0.482 0.846 1
F1 F 0.019 0.714 0.644 1
F2 F 0.033 0.286 0.590 1
F3 F 0.275 0.509 0.391 1
```

=====

No. 5
# Li5V6O5F19
Calculated X-ray powder pattern, Cu Kα (λ = 1.5418 Å). Input: the GGA+U geometry in the Materials Project.

Principal peaks in the range 2θ from 10° to 80°, low angle first:
two_theta	Rel. int.	(hkl)
16.69	100	0 0 3
25.04	73	1 1 -1
25.20	40	1 -1 1
25.35	35	-1 1 2
33.13	12	0 2 1
33.75	14	0 0 6
48.23	11	2 2 1
48.77	11	-2 2 1
49.31	9	1 1 8
51.63	11	0 0 9

Cell and atoms:
```
data_Li5V6O5F19
_chemical_formula_sum 'Li5 V6 O5 F19'
_symmetry_space_group_name_H-M 'P 1'
_symmetry_Int_Tables_number 1
_symmetry_space_group_name_Hall 'P 1'
_cell_length_a 5.217
_cell_length_b 5.408
_cell_length_c 16.137
_cell_angle_alpha 80.91
_cell_angle_beta 89.71
_cell_angle_gamma 89.41
loop_
_atom_site_label
_atom_site_type_symbol
_atom_site_fract_x
_atom_site_fract_y
_atom_site_fract_z
_atom_site_occupancy
Li1 Li 0.000 0.000 0.000 1
Li2 Li 0.057 0.585 0.128 1
Li3 Li 0.208 0.652 0.379 1
Li4 Li 0.297 0.948 0.711 1
Li5 Li 0.577 0.462 0.014 1
V1 V 0.004 0.000 0.223 1
V2 V 0.058 0.591 0.892 1
V3 V 0.059 0.259 0.561 1
V4 V 0.506 0.474 0.234 1
V5 V 0.511 0.089 0.893 1
V6 V 0.542 0.786 0.558 1
O1 O 0.232 0.319 0.922 1
O2 O 0.246 0.658 0.246 1
O3 O 0.252 0.993 0.579 1
O4 O 0.334 0.822 0.922 1
O5 O 0.837 0.272 0.196 1
F1 F 0.117 0.965 0.109 1
F2 F 0.120 0.355 0.446 1
F3 F 0.124 0.683 0.779 1
F4 F 0.327 0.151 0.254 1
F5 F 0.338 0.487 0.583 1
F6 F 0.409 0.486 0.112 1
F7 F 0.448 0.811 0.449 1
F8 F 0.452 0.159 0.779 1
F9 F 0.602 0.761 0.669 1
F10 F 0.631 0.420 0.340 1
F11 F 0.652 0.116 0.003 1
F12 F 0.727 0.435 0.874 1
F13 F 0.747 0.084 0.535 1
F14 F 0.748 0.755 0.196 1
F15 F 0.838 0.583 0.542 1
F16 F 0.848 0.929 0.877 1
F17 F 0.924 0.607 0.008 1
F18 F 0.951 0.898 0.337 1
F19 F 0.961 0.238 0.673 1
```

=====

No. 6
# Li2VO2F
Calculated X-ray powder pattern, Cu Kα (λ = 1.5418 Å). Input: the GGA+U geometry in the Materials Project.

Principal peaks in the range 2θ from 10° to 80°, low angle first:
two_theta	Rel. int.	(hkl)
12.19	35	0 0 2
18.33	65	0 0 3
35.37	36	1 0 1
39.62	11	0 1 3
43.04	100	1 0 4
47.15	10	0 1 5
56.99	11	1 0 7
62.41	26	1 1 0
62.60	26	0 1 8
78.81	12	0 2 4

Cell and atoms:
```
data_Li2VO2F
_chemical_formula_sum 'Li4 V2 O4 F2'
_symmetry_space_group_name_H-M 'P -3 m 1'
_symmetry_Int_Tables_number 164
_symmetry_space_group_name_Hall '-P 3 2"'
_cell_length_a 2.9761
_cell_length_b 2.9761
_cell_length_c 14.5180
_cell_angle_alpha 90.00
_cell_angle_beta 90.00
_cell_angle_gamma 120.00
loop_
_atom_site_label
_atom_site_type_symbol
_atom_site_fract_x
_atom_site_fract_y
_atom_site_fract_z
_atom_site_occupancy
Li1 Li 0.0000 0.0000 0.0000 1
Li2 Li 0.0000 0.0000 0.5000 1
Li3 Li 0.3333 0.6667 0.1615 1
V1 V 0.3333 0.6667 0.6686 1
O1 O 0.0000 0.0000 0.2536 1
O2 O 0.3333 0.6667 0.4091 1
F1 F 0.3333 0.6667 0.9190 1
```